This entry pairs a crystal structure of Rb2CoBr7 with its theoretical XRD peak list. Radiation: CuKα. Structure: a cell relaxed with PBE.
Intensities are scaled so that the largest is 100.

Cell and atoms:
```
Rb2CoBr7
1.0
-4.0627 4.0627 5.4557
4.0627 -4.0627 5.4557
4.0627 4.0627 -5.4557
Rb Co Br
2 1 7
Direct
0.2500 0.7500 0.5000 Rb
0.7500 0.2500 0.5000 Rb
0.0000 0.0000 0.0000 Co
0.2053 0.2053 0.4107 Br
0.2053 0.7947 0.0000 Br
0.2612 0.2612 0.0000 Br
0.5000 0.5000 0.0000 Br
0.7388 0.7388 0.0000 Br
0.7947 0.2053 0.0000 Br
0.7947 0.7947 0.5893 Br
```

Top 6 peaks for 10 to 80 degrees two-theta, by intensity:
2θ = 27.37°, rel. 100.0
2θ = 31.13°, rel. 83.1
2θ = 45.87°, rel. 54.0
2θ = 32.83°, rel. 45.2
2θ = 22.47°, rel. 24.2
2θ = 15.42°, rel. 24.1

This entry pairs a crystal structure of SmGa4Au6 with its theoretical XRD peak list. Radiation: CuKα. Structure: a cell relaxed with PBE.
Intensities are scaled so that the largest is 100.

Cell and atoms:
```
SmGa4Au6
1.0
7.2511 0.0000 0.0000
-3.6256 6.2797 0.0000
0.0000 0.0000 5.0175
Sm Ga Au
1 4 6
Direct
0.0000 0.0000 0.0000 Sm
0.3333 0.6667 0.0000 Ga
0.4201 0.4025 0.5000 Ga
0.5975 0.0176 0.5000 Ga
0.9824 0.5799 0.5000 Ga
0.0109 0.2456 0.5000 Au
0.2347 0.9891 0.5000 Au
0.4824 0.0734 0.0000 Au
0.5911 0.5176 0.0000 Au
0.7544 0.7653 0.5000 Au
0.9266 0.4089 0.0000 Au
```

Top 6 peaks for 10 to 80 degrees two-theta, by intensity:
2θ = 42.12°, rel. 100.0
2θ = 35.79°, rel. 46.7
2θ = 33.67°, rel. 41.9
2θ = 24.55°, rel. 31.7
2θ = 37.91°, rel. 27.6
2θ = 68.65°, rel. 23.8

This entry pairs a crystal structure of PuMg3Cd9 with its theoretical XRD peak list. Radiation: CuKα. Structure: a cell relaxed with PBE.
Intensities are scaled so that the largest is 100.

Cell and atoms:
```
PuMg3Cd9
1.0
2.9833 -7.0522 0.0000
2.9833 7.0522 0.0000
-2.9452 0.0000 7.0230
Pu Mg Cd
1 3 9
Direct
0.0000 0.0000 0.0000 Pu
0.0000 0.0000 0.5000 Mg
0.0000 0.5000 0.0000 Mg
0.5000 0.0000 0.0000 Mg
0.0056 0.6570 0.6549 Cd
0.2811 0.4956 0.7873 Cd
0.3430 0.9944 0.3451 Cd
0.4956 0.2811 0.7873 Cd
0.5000 0.5000 0.5000 Cd
0.5044 0.7189 0.2127 Cd
0.6570 0.0056 0.6549 Cd
0.7189 0.5044 0.2127 Cd
0.9944 0.3430 0.3451 Cd
```

Top 6 peaks for 10 to 80 degrees two-theta, by intensity:
2θ = 35.80°, rel. 100.0
2θ = 29.95°, rel. 49.8
2θ = 36.10°, rel. 47.6
2θ = 30.79°, rel. 47.3
2θ = 35.98°, rel. 44.4
2θ = 35.13°, rel. 27.0

This entry pairs a crystal structure of NaZn3Sb3 with its theoretical XRD peak list. Radiation: CuKα. Structure: a cell relaxed with PBE.
Intensities are scaled so that the largest is 100.

Cell and atoms:
```
NaZn3Sb3
1.0
3.6123 2.0856 8.5243
-3.6123 2.0856 8.5243
0.0000 -4.1711 8.5243
Na Zn Sb
2 6 6
Direct
0.1659 0.1659 0.1659 Na
0.8340 0.8340 0.8340 Na
0.0248 0.3607 0.6999 Zn
0.3001 0.9752 0.6393 Zn
0.3607 0.6999 0.0248 Zn
0.6393 0.3001 0.9752 Zn
0.6999 0.0248 0.3607 Zn
0.9752 0.6393 0.3001 Zn
0.0826 0.7387 0.4138 Sb
0.2613 0.5862 0.9174 Sb
0.4138 0.0826 0.7387 Sb
0.5862 0.9174 0.2613 Sb
0.7387 0.4138 0.0826 Sb
0.9174 0.2613 0.5862 Sb
```

Top 6 peaks for 10 to 80 degrees two-theta, by intensity:
2θ = 40.39°, rel. 100.0
2θ = 26.80°, rel. 82.4
2θ = 10.38°, rel. 69.1
2θ = 43.39°, rel. 61.3
2θ = 24.65°, rel. 54.3
2θ = 60.76°, rel. 28.8

This entry pairs a crystal structure of LiCa2Mg with its theoretical XRD peak list. Radiation: CuKα. Structure: a cell relaxed with PBE.
Intensities are scaled so that the largest is 100.

Cell and atoms:
```
LiCa2Mg
1.0
3.7815 0.0000 0.0000
-1.8908 3.2749 0.0000
0.0000 0.0000 32.4769
Li Ca Mg
3 6 3
Direct
0.0000 0.0000 0.0000 Li
0.3333 0.6667 0.6667 Li
0.6667 0.3333 0.3333 Li
0.0000 0.0000 0.2479 Ca
0.0000 0.0000 0.7521 Ca
0.3333 0.6667 0.4187 Ca
0.3333 0.6667 0.9146 Ca
0.6667 0.3333 0.0854 Ca
0.6667 0.3333 0.5813 Ca
0.0000 0.0000 0.5000 Mg
0.3333 0.6667 0.1667 Mg
0.6667 0.3333 0.8333 Mg
```

Top 6 peaks for 10 to 80 degrees two-theta, by intensity:
2θ = 29.41°, rel. 100.0
2θ = 35.21°, rel. 59.8
2θ = 16.38°, rel. 31.9
2θ = 48.11°, rel. 27.7
2θ = 27.79°, rel. 25.5
2θ = 33.10°, rel. 23.6

This entry pairs a crystal structure of ZrMnNbFe with its theoretical XRD peak list. Radiation: CuKα. Structure: a cell relaxed with PBE.
Intensities are scaled so that the largest is 100.

Cell and atoms:
```
ZrMnNbFe
1.0
6.2331 0.0000 0.0000
0.0000 6.2331 0.0000
0.0000 0.0000 6.2331
Zr Mn Nb Fe
4 4 4 4
Direct
0.0000 0.0000 0.0000 Zr
0.0000 0.5000 0.5000 Zr
0.5000 0.0000 0.5000 Zr
0.5000 0.5000 0.0000 Zr
0.2500 0.2500 0.2500 Mn
0.2500 0.7500 0.7500 Mn
0.7500 0.2500 0.7500 Mn
0.7500 0.7500 0.2500 Mn
0.0000 0.0000 0.5000 Nb
0.0000 0.5000 0.0000 Nb
0.5000 0.0000 0.0000 Nb
0.5000 0.5000 0.5000 Nb
0.2500 0.2500 0.7500 Fe
0.2500 0.7500 0.2500 Fe
0.7500 0.2500 0.2500 Fe
0.7500 0.7500 0.7500 Fe
```

Top 6 peaks for 10 to 80 degrees two-theta, by intensity:
2θ = 40.95°, rel. 100.0
2θ = 74.59°, rel. 31.0
2θ = 59.30°, rel. 15.9
2θ = 28.64°, rel. 7.7
2θ = 67.16°, rel. 3.0
2θ = 50.74°, rel. 2.2

This entry pairs a crystal structure of Er8Cu3Bi2 with its theoretical XRD peak list. Radiation: CuKα. Structure: a cell relaxed with PBE.
Intensities are scaled so that the largest is 100.

Cell and atoms:
```
Er8Cu3Bi2
1.0
8.5145 -3.4167 0.0000
8.5145 3.4167 0.0000
-0.9355 0.0000 6.1598
Er Cu Bi
8 3 2
Direct
0.0497 0.0497 0.2849 Er
0.1307 0.6239 0.1585 Er
0.3608 0.3608 0.6653 Er
0.3761 0.8693 0.8415 Er
0.6239 0.1307 0.1585 Er
0.6392 0.6392 0.3347 Er
0.8693 0.3761 0.8415 Er
0.9503 0.9503 0.7151 Er
0.3286 0.6714 0.5000 Cu
0.5000 0.5000 0.0000 Cu
0.6714 0.3286 0.5000 Cu
0.2252 0.2252 0.2370 Bi
0.7748 0.7748 0.7630 Bi
```

Top 6 peaks for 10 to 80 degrees two-theta, by intensity:
2θ = 31.02°, rel. 100.0
2θ = 32.52°, rel. 67.9
2θ = 32.42°, rel. 52.1
2θ = 31.17°, rel. 47.0
2θ = 51.91°, rel. 45.4
2θ = 39.72°, rel. 42.8

This entry pairs a crystal structure of NbOsRuPt with its theoretical XRD peak list. Radiation: CuKα. Structure: a cell relaxed with PBE.
Intensities are scaled so that the largest is 100.

Cell and atoms:
```
NbOsRuPt
1.0
3.8836 0.0000 0.0000
0.0000 3.9552 0.0000
0.0000 0.0000 3.9635
Nb Os Ru Pt
1 1 1 1
Direct
0.0000 0.0000 0.0000 Nb
0.5000 0.5000 0.0000 Os
0.5000 0.0000 0.5000 Ru
0.0000 0.5000 0.5000 Pt
```

Top 6 peaks for 10 to 80 degrees two-theta, by intensity:
2θ = 39.69°, rel. 100.0
2θ = 67.58°, rel. 20.8
2θ = 45.79°, rel. 16.7
2θ = 45.89°, rel. 16.6
2θ = 46.78°, rel. 15.6
2θ = 66.83°, rel. 10.8